Computed PXRD pattern
Compound: Nb6Tl3SBr17
Radiation: Cu Kα (weighted mean of Kα1 and Kα2)
Structure: a structure optimized by DFT (GGA-PBE)
No peak broadening, texture or thermal motion is included.

Atomic structure:
```
data_Nb6Tl3SBr17
_symmetry_space_group_name_H-M 'C 1 2/c 1'
_symmetry_Int_Tables_number 15
_symmetry_space_group_name_Hall '-C 2yc'
_cell_length_a 15.844
_cell_length_b 25.274
_cell_length_c 9.946
_cell_angle_alpha 90.00
_cell_angle_beta 100.31
_cell_angle_gamma 90.00
loop_
_atom_site_label
_atom_site_type_symbol
_atom_site_fract_x
_atom_site_fract_y
_atom_site_fract_z
Nb1 Nb 0.004 0.171 0.026
Nb2 Nb 0.093 0.334 0.384
Nb3 Nb 0.190 0.388 0.535
Tl1 Tl 0.000 0.472 0.750
Tl2 Tl 0.202 0.101 0.882
S1 S 0.000 0.190 0.250
Br1 Br 0.000 0.133 0.750
Br2 Br 0.064 0.381 0.129
Br3 Br 0.066 0.264 0.571
Br4 Br 0.067 0.078 0.083
Br5 Br 0.145 0.209 0.995
Br6 Br 0.152 0.374 0.769
Br7 Br 0.152 0.484 0.480
Br8 Br 0.156 0.125 0.515
Br9 Br 0.205 0.278 0.302
```

Main lines, low angle first (2θ = 10–90°):
| h k l | Position (°2θ) | d (Å) | Rel. int. |
| --- | --- | --- | --- |
| 1 3 0 | 11.9 | 7.411 | 40.0 |
| 0 4 0 | 14.0 | 6.318 | 71.7 |
| 2 2 1 | 17.3 | 5.139 | 57.0 |
| 1 1 2 | 20.3 | 4.379 | 38.0 |
| 1 5 -2 | 25.3 | 3.526 | 43.8 |
| 2 6 1 | 26.4 | 3.372 | 52.9 |
| 1 3 -3 | 29.0 | 3.084 | 94.5 |
| 5 3 -1 | 30.4 | 2.940 | 100.0 |
| 5 3 0 | 30.6 | 2.924 | 40.9 |
| 4 0 2 | 31.8 | 2.813 | 34.0 |
| 1 9 1 | 34.0 | 2.638 | 32.6 |
| 1 7 3 | 38.4 | 2.343 | 35.6 |


Computed PXRD pattern
Compound: Nb3Se5Br7
Radiation: Cu Kα (weighted mean of Kα1 and Kα2)
Structure: a structure optimized by DFT (GGA-PBE)
No peak broadening, texture or thermal motion is included.

Atomic structure:
```
data_Nb3Se5Br7
_symmetry_space_group_name_H-M 'P 1 21/m 1'
_symmetry_Int_Tables_number 11
_symmetry_space_group_name_Hall '-P 2yb'
_cell_length_a 8.625
_cell_length_b 13.239
_cell_length_c 8.966
_cell_angle_alpha 90.00
_cell_angle_beta 109.57
_cell_angle_gamma 90.00
loop_
_atom_site_label
_atom_site_type_symbol
_atom_site_fract_x
_atom_site_fract_y
_atom_site_fract_z
Nb1 Nb 0.024 0.106 0.056
Nb2 Nb 0.398 0.250 0.474
Se1 Se 0.165 0.025 0.863
Se2 Se 0.262 0.531 0.124
Se3 Se 0.417 0.250 0.736
Br1 Br 0.058 0.750 0.185
Br2 Br 0.150 0.113 0.389
Br3 Br 0.166 0.750 0.866
Br4 Br 0.277 0.250 0.124
Br5 Br 0.408 0.615 0.544
```

Main lines, low angle first (2θ = 10–90°):
| h k l | Position (°2θ) | d (Å) | Rel. int. |
| --- | --- | --- | --- |
| 0 0 1 | 10.5 | 8.448 | 14.7 |
| 1 0 0 | 10.9 | 8.127 | 16.8 |
| 1 0 -1 | 12.3 | 7.180 | 100.0 |
| 1 0 1 | 17.5 | 5.070 | 20.9 |
| 2 3 -1 | 29.1 | 3.066 | 22.0 |
| 2 3 0 | 29.9 | 2.989 | 54.0 |
| 0 1 3 | 32.5 | 2.754 | 20.0 |
| 2 4 -1 | 34.3 | 2.614 | 21.4 |
| 2 3 -3 | 38.1 | 2.360 | 14.7 |
| 2 3 2 | 41.1 | 2.198 | 16.4 |
| 4 0 -1 | 42.1 | 2.145 | 24.8 |
| 5 0 -2 | 53.1 | 1.723 | 19.0 |


Computed PXRD pattern
Compound: NdBr2
Radiation: Cu Kα (weighted mean of Kα1 and Kα2)
Structure: a structure optimized by DFT (GGA-PBE)
No peak broadening, texture or thermal motion is included.

Atomic structure:
```
data_NdBr2
_symmetry_space_group_name_H-M 'P n m a'
_symmetry_Int_Tables_number 62
_symmetry_space_group_name_Hall '-P 2ac 2n'
_cell_length_a 6.923
_cell_length_b 4.062
_cell_length_c 16.293
_cell_angle_alpha 90.00
_cell_angle_beta 90.00
_cell_angle_gamma 90.00
loop_
_atom_site_label
_atom_site_type_symbol
_atom_site_fract_x
_atom_site_fract_y
_atom_site_fract_z
Nd1 Nd 0.241 0.250 0.001
Br1 Br 0.084 0.250 0.387
Br2 Br 0.087 0.750 0.118
```

Main lines, low angle first (2θ = 10–90°):
| h k l | Position (°2θ) | d (Å) | Rel. int. |
| --- | --- | --- | --- |
| 0 0 2 | 10.9 | 8.146 | 100.0 |
| 1 1 1 | 26.0 | 3.425 | 13.1 |
| 1 1 2 | 27.7 | 3.218 | 34.0 |
| 2 0 2 | 28.0 | 3.186 | 15.0 |
| 1 1 3 | 30.4 | 2.944 | 50.2 |
| 2 0 4 | 34.0 | 2.638 | 24.2 |
| 1 1 5 | 37.7 | 2.386 | 35.9 |
| 0 0 8 | 44.5 | 2.037 | 9.8 |
| 0 2 0 | 44.6 | 2.031 | 11.1 |
| 3 1 1 | 45.6 | 1.991 | 30.7 |
| 2 2 4 | 57.3 | 1.609 | 11.6 |
| 3 1 9 | 70.0 | 1.344 | 10.8 |


Computed PXRD pattern
Compound: Nd4Br9
Radiation: Cu Kα (weighted mean of Kα1 and Kα2)
Structure: a structure optimized by DFT (GGA-PBE)
No peak broadening, texture or thermal motion is included.

Atomic structure:
```
data_Nd4Br9
_symmetry_space_group_name_H-M 'P 1 c 1'
_symmetry_Int_Tables_number 7
_symmetry_space_group_name_Hall 'P -2yc'
_cell_length_a 7.655
_cell_length_b 7.156
_cell_length_c 29.379
_cell_angle_alpha 90.00
_cell_angle_beta 90.42
_cell_angle_gamma 90.00
loop_
_atom_site_label
_atom_site_type_symbol
_atom_site_fract_x
_atom_site_fract_y
_atom_site_fract_z
Nd1 Nd 0.000 0.007 0.000
Nd2 Nd 0.034 0.042 0.236
Nd3 Nd 0.347 0.023 0.879
Nd4 Nd 0.391 0.017 0.114
Nd5 Nd 0.492 0.471 0.001
Nd6 Nd 0.536 0.475 0.238
Nd7 Nd 0.846 0.460 0.877
Nd8 Nd 0.889 0.478 0.116
Br1 Br 0.031 0.187 0.409
Br2 Br 0.034 0.133 0.602
Br3 Br 0.077 0.217 0.818
Br4 Br 0.165 0.315 0.936
Br5 Br 0.188 0.307 0.057
Br6 Br 0.221 0.328 0.178
Br7 Br 0.297 0.244 0.298
Br8 Br 0.353 0.167 0.706
Br9 Br 0.361 0.130 0.513
Br10 Br 0.528 0.337 0.410
Br11 Br 0.528 0.382 0.604
Br12 Br 0.576 0.261 0.818
Br13 Br 0.668 0.168 0.937
Br14 Br 0.698 0.180 0.058
Br15 Br 0.713 0.178 0.179
Br16 Br 0.798 0.271 0.298
Br17 Br 0.850 0.381 0.513
Br18 Br 0.856 0.323 0.706
```

Main lines, low angle first (2θ = 10–90°):
| h k l | Position (°2θ) | d (Å) | Rel. int. |
| --- | --- | --- | --- |
| 1 1 0 | 17.0 | 5.227 | 40.7 |
| 1 1 -4 | 20.8 | 4.261 | 100.0 |
| 2 1 -1 | 26.6 | 3.354 | 25.2 |
| 1 1 -8 | 29.7 | 3.011 | 26.8 |
| 0 0 10 | 30.4 | 2.936 | 39.2 |
| 2 1 5 | 30.6 | 2.918 | 27.8 |
| 1 2 -5 | 31.5 | 2.840 | 45.9 |
| 2 0 8 | 34.0 | 2.640 | 28.2 |
| 0 2 8 | 35.0 | 2.563 | 77.0 |
| 2 2 4 | 36.5 | 2.459 | 24.9 |
| 3 1 0 | 37.4 | 2.403 | 54.9 |
| 1 3 4 | 41.5 | 2.174 | 30.8 |


Computed PXRD pattern
Compound: Nd3Br
Radiation: Cu Kα (weighted mean of Kα1 and Kα2)
Structure: a structure optimized by DFT (GGA-PBE)
No peak broadening, texture or thermal motion is included.

Atomic structure:
```
data_Nd3Br
_symmetry_space_group_name_H-M 'P m -3 m'
_symmetry_Int_Tables_number 221
_symmetry_space_group_name_Hall '-P 4 2 3'
_cell_length_a 4.977
_cell_length_b 4.977
_cell_length_c 4.977
_cell_angle_alpha 90.00
_cell_angle_beta 90.00
_cell_angle_gamma 90.00
loop_
_atom_site_label
_atom_site_type_symbol
_atom_site_fract_x
_atom_site_fract_y
_atom_site_fract_z
Nd1 Nd 0.000 0.000 0.500
Br1 Br 0.500 0.500 0.500
```

Main lines, low angle first (2θ = 10–90°):
| h k l | Position (°2θ) | d (Å) | Rel. int. |
| --- | --- | --- | --- |
| 1 0 0 | 17.8 | 4.977 | 4.1 |
| 1 1 0 | 25.3 | 3.519 | 3.6 |
| 1 1 1 | 31.1 | 2.873 | 100.0 |
| 2 0 0 | 36.1 | 2.489 | 50.3 |
| 2 1 0 | 40.5 | 2.226 | 2.2 |
| 2 1 1 | 44.6 | 2.032 | 1.7 |
| 2 2 0 | 52.0 | 1.760 | 35.4 |
| 3 1 1 | 61.8 | 1.501 | 41.8 |
| 2 2 2 | 64.9 | 1.437 | 12.0 |
| 4 0 0 | 76.6 | 1.244 | 5.6 |
| 3 3 1 | 84.9 | 1.142 | 17.4 |
| 4 2 0 | 87.7 | 1.113 | 16.3 |


Computed PXRD pattern
Compound: Nd3Br
Radiation: Cu Kα (weighted mean of Kα1 and Kα2)
Structure: a structure optimized by DFT (GGA-PBE)
No peak broadening, texture or thermal motion is included.

Atomic structure:
```
data_Nd3Br
_symmetry_space_group_name_H-M 'P 63/m m c'
_symmetry_Int_Tables_number 194
_symmetry_space_group_name_Hall '-P 6c 2c'
_cell_length_a 7.1698
_cell_length_b 7.1698
_cell_length_c 5.6015
_cell_angle_alpha 90.00
_cell_angle_beta 90.00
_cell_angle_gamma 120.00
loop_
_atom_site_label
_atom_site_type_symbol
_atom_site_fract_x
_atom_site_fract_y
_atom_site_fract_z
Nd1 Nd 0.1695 0.3389 0.2500
Br1 Br 0.3333 0.6667 0.7500
```

Main lines, low angle first (2θ = 10–90°):
| h k l | Position (°2θ) | d (Å) | Rel. int. |
| --- | --- | --- | --- |
| 1 0 1 | 21.4 | 4.159 | 5.1 |
| 2 0 0 | 28.8 | 3.105 | 23.9 |
| 0 0 2 | 32.0 | 2.801 | 24.2 |
| 2 0 1 | 33.0 | 2.715 | 100.0 |
| 2 0 2 | 43.5 | 2.080 | 15.4 |
| 2 2 0 | 50.9 | 1.792 | 19.4 |
| 2 0 3 | 57.6 | 1.600 | 20.2 |
| 2 2 2 | 61.4 | 1.510 | 22.0 |
| 4 0 1 | 62.0 | 1.496 | 16.0 |
| 4 0 3 | 80.5 | 1.194 | 7.6 |
| 4 2 1 | 84.3 | 1.148 | 13.6 |
| 2 2 4 | 88.6 | 1.104 | 8.3 |